Record 1
Starting from a crystal structure in the Materials Project, relaxed with PBE, the XRD peak list of Sb4Cl2O5 was computed for CuKα.
Lines closer than 0.1° are merged.

Structure:
abc: 6.3827 5.2268 13.8223
angles: 90.00 95.70 90.00
Sites, in units of the cell vectors:
Sb (0.1838, 0.2223, 0.0474)
Sb (0.1838, 0.2777, 0.5474)
Sb (0.2017, 0.6026, 0.2960)
Sb (0.2017, 0.8974, 0.7960)
Sb (0.7983, 0.1026, 0.2040)
Sb (0.7983, 0.3974, 0.7040)
Sb (0.8162, 0.7223, 0.4526)
Sb (0.8162, 0.7777, 0.9526)
Cl (0.4889, 0.2149, 0.3826)
Cl (0.4889, 0.2851, 0.8826)
Cl (0.5111, 0.7149, 0.1174)
Cl (0.5111, 0.7851, 0.6174)
O (0.0000, 0.0000, 0.5000)
O (0.0000, 0.5000, 0.0000)
O (0.0698, 0.0074, 0.9185)
O (0.0698, 0.4926, 0.4185)
O (0.0731, 0.1741, 0.7097)
O (0.0731, 0.3259, 0.2097)
O (0.9269, 0.6741, 0.7903)
O (0.9269, 0.8259, 0.2903)
O (0.9302, 0.5074, 0.5815)
O (0.9302, 0.9926, 0.0815)

Peak list (12 most intense, 10° ≤ 2θ ≤ 80°, sorted by position)
2θ (°)	I_rel
13.94	35
21.35	19
23.36	36
26.30	100
28.26	62
33.08	15
34.48	41
34.95	14
40.54	17
42.71	14
43.09	29
54.60	15

Record 2
Starting from a crystal structure in the Materials Project, relaxed with PBE, the XRD peak list of Sb3ClO4 was computed for CuKα.
Lines closer than 0.1° are merged.

Structure:
abc: 9.6762 5.5265 5.7341
angles: 90.00 95.09 90.00
Sites, in units of the cell vectors:
Sb (0.0000, 0.1732, 0.2500)
Sb (0.0000, 0.8268, 0.7500)
Sb (0.2929, 0.3045, 0.6983)
Sb (0.2929, 0.6955, 0.1983)
Sb (0.7071, 0.3045, 0.8017)
Sb (0.7071, 0.6955, 0.3017)
Cl (0.5000, 0.2899, 0.2500)
Cl (0.5000, 0.7101, 0.7500)
O (0.1200, 0.0844, 0.6012)
O (0.1200, 0.9156, 0.1012)
O (0.2019, 0.4744, 0.9522)
O (0.2019, 0.5256, 0.4522)
O (0.7981, 0.4744, 0.5478)
O (0.7981, 0.5256, 0.0478)
O (0.8800, 0.0844, 0.8988)
O (0.8800, 0.9156, 0.3988)

Peak list (12 most intense, 10° ≤ 2θ ≤ 80°, sorted by position)
2θ (°)	I_rel
18.49	34
23.70	55
24.51	29
27.77	21
28.22	86
30.03	100
31.32	34
32.40	18
36.11	22
45.23	19
45.69	19
50.81	19

Record 3
Starting from a crystal structure in the Materials Project, relaxed with PBE, the XRD peak list of SbCl6O2 was computed for CuKα.
Lines closer than 0.1° are merged.

Structure:
abc: 7.1770 7.1770 12.8580
angles: 110.58 110.58 53.30
Sites, in units of the cell vectors:
Sb (0.0000, 0.0000, 0.0000)
Sb (0.0000, 0.0000, 0.5000)
Cl (0.0164, 0.2207, 0.3956)
Cl (0.0632, 0.6838, 0.3388)
Cl (0.1865, 0.5821, 0.9328)
Cl (0.2207, 0.0164, 0.8956)
Cl (0.3162, 0.9368, 0.1612)
Cl (0.4178, 0.8135, 0.5672)
Cl (0.5821, 0.1865, 0.4328)
Cl (0.6838, 0.0632, 0.8388)
Cl (0.7793, 0.9836, 0.1044)
Cl (0.8135, 0.4178, 0.0672)
Cl (0.9368, 0.3163, 0.6612)
Cl (0.9836, 0.7793, 0.6044)
O (0.3701, 0.4738, 0.6788)
O (0.4738, 0.3701, 0.1788)
O (0.5262, 0.6299, 0.8212)
O (0.6299, 0.5262, 0.3212)

Peak list (12 most intense, 10° ≤ 2θ ≤ 80°, sorted by position)
2θ (°)	I_rel
15.01	100
15.68	80
16.54	40
19.58	30
23.75	37
28.57	22
29.99	20
31.66	20
33.43	26
37.78	36
41.51	20
51.37	24

Record 4
Starting from a crystal structure in the Materials Project, relaxed with PBE, the XRD peak list of SbCl6O3 was computed for CuKα.
Lines closer than 0.1° are merged.

Structure:
abc: 7.1164 12.3897 12.9540
angles: 90.00 93.99 90.00
Sites, in units of the cell vectors:
Sb (0.2007, 0.1322, 0.3042)
Sb (0.2007, 0.3678, 0.8042)
Sb (0.7993, 0.6322, 0.1958)
Sb (0.7993, 0.8678, 0.6958)
Cl (0.0194, 0.2057, 0.7748)
Cl (0.0194, 0.2943, 0.2748)
Cl (0.0757, 0.5408, 0.1452)
Cl (0.0757, 0.9592, 0.6452)
Cl (0.1232, 0.0761, 0.1282)
Cl (0.1232, 0.4239, 0.6282)
Cl (0.2749, 0.1881, 0.4801)
Cl (0.2749, 0.3119, 0.9801)
Cl (0.3849, 0.5275, 0.8364)
Cl (0.3849, 0.9725, 0.3364)
Cl (0.4723, 0.2272, 0.2502)
Cl (0.4723, 0.2728, 0.7502)
Cl (0.5277, 0.7272, 0.2498)
Cl (0.5277, 0.7728, 0.7498)
Cl (0.6151, 0.0275, 0.6636)
Cl (0.6151, 0.4725, 0.1636)
Cl (0.7251, 0.6881, 0.0199)
Cl (0.7251, 0.8119, 0.5199)
Cl (0.8768, 0.5761, 0.3718)
Cl (0.8768, 0.9239, 0.8718)
Cl (0.9243, 0.0408, 0.3548)
Cl (0.9243, 0.4592, 0.8548)
Cl (0.9806, 0.7057, 0.7252)
Cl (0.9806, 0.7943, 0.2252)
O (0.2757, 0.7032, 0.4624)
O (0.2757, 0.7968, 0.9624)
O (0.3470, 0.5421, 0.4050)
O (0.3467, 0.6098, 0.4802)
O (0.3467, 0.8902, 0.9802)
O (0.3470, 0.9579, 0.9050)
O (0.6530, 0.0421, 0.0950)
O (0.6533, 0.1098, 0.0198)
O (0.6533, 0.3902, 0.5198)
O (0.6530, 0.4579, 0.5950)
O (0.7243, 0.2032, 0.0376)
O (0.7243, 0.2968, 0.5376)

Peak list (12 most intense, 10° ≤ 2θ ≤ 80°, sorted by position)
2θ (°)	I_rel
13.71	49
14.38	66
15.53	43
15.86	100
16.31	45
17.91	33
19.92	33
20.51	29
21.84	28
31.22	33
31.41	27
40.68	26

Record 5
Starting from a crystal structure in the Materials Project, relaxed with PBE, the XRD peak list of Sb4ClO6 was computed for CuKα.
Lines closer than 0.1° are merged.

Structure:
abc: 9.8282 9.8282 10.9814
angles: 110.82 110.82 24.24
Sites, in units of the cell vectors:
Sb (0.0015, 0.0015, 0.2884)
Sb (0.1925, 0.1925, 0.3468)
Sb (0.2335, 0.2335, 0.8207)
Sb (0.4228, 0.4228, 0.0282)
Sb (0.5772, 0.5772, 0.9718)
Sb (0.7665, 0.7665, 0.1793)
Sb (0.8075, 0.8075, 0.6532)
Sb (0.9985, 0.9985, 0.7116)
Cl (0.3865, 0.3865, 0.5025)
Cl (0.6135, 0.6135, 0.4975)
O (0.0665, 0.0665, 0.9157)
O (0.0858, 0.0858, 0.2252)
O (0.2351, 0.2351, 0.2005)
O (0.2972, 0.2972, 0.7071)
O (0.3155, 0.3155, 0.9985)
O (0.4680, 0.4680, 0.2228)
O (0.5320, 0.5320, 0.7772)
O (0.6845, 0.6845, 0.0015)
O (0.7028, 0.7028, 0.2929)
O (0.7649, 0.7649, 0.7995)
O (0.9142, 0.9142, 0.7748)
O (0.9335, 0.9335, 0.0843)

Peak list (12 most intense, 10° ≤ 2θ ≤ 80°, sorted by position)
2θ (°)	I_rel
10.50	16
19.84	22
21.10	19
22.95	19
24.44	15
27.07	100
28.63	30
30.96	29
33.12	45
43.46	12
43.88	29
50.98	14

Record 6
Starting from a crystal structure in the Materials Project, relaxed with PBE, the XRD peak list of SbCl6O2 was computed for CuKα.
Lines closer than 0.1° are merged.

Structure:
abc: 7.2355 7.2355 7.2355
angles: 123.05 110.43 96.06
Sites, in units of the cell vectors:
Sb (0.0000, 0.0000, 0.0000)
Cl (0.1780, 0.4211, 0.2431)
Cl (0.1780, 0.9348, 0.7569)
Cl (0.2921, 0.0000, 0.2921)
Cl (0.7079, 0.0000, 0.7079)
Cl (0.8220, 0.0652, 0.2431)
Cl (0.8220, 0.5789, 0.7569)
O (0.4263, 0.5000, 0.9263)
O (0.5737, 0.5000, 0.0737)

Peak list (12 most intense, 10° ≤ 2θ ≤ 80°, sorted by position)
2θ (°)	I_rel
14.10	87
15.77	100
16.75	63
18.33	25
21.53	47
24.93	41
31.86	66
33.87	31
38.78	21
39.78	31
39.89	21
51.03	29

Record 7
Starting from a crystal structure in the Materials Project, relaxed with PBE, the XRD peak list of YSb3Se2ClO8 was computed for CuKα.
Lines closer than 0.1° are merged.

Structure:
abc: 7.5545 9.6194 7.7136
angles: 90.00 90.00 90.00
Sites, in units of the cell vectors:
Y (0.2500, 0.2500, 0.1691)
Y (0.7500, 0.7500, 0.8309)
Sb (0.0000, 0.0000, 0.5000)
Sb (0.0000, 0.5000, 0.5000)
Sb (0.2500, 0.2500, 0.6285)
Sb (0.5000, 0.0000, 0.5000)
Sb (0.5000, 0.5000, 0.5000)
Sb (0.7500, 0.7500, 0.3715)
Se (0.2500, 0.5738, 0.9125)
Se (0.2500, 0.9262, 0.9125)
Se (0.7500, 0.0738, 0.0875)
Se (0.7500, 0.4262, 0.0875)
Cl (0.2500, 0.7500, 0.4167)
Cl (0.7500, 0.2500, 0.5833)
O (0.0661, 0.5952, 0.7795)
O (0.0661, 0.9048, 0.7795)
O (0.2500, 0.1050, 0.4005)
O (0.2500, 0.1056, 0.9403)
O (0.2500, 0.3944, 0.9403)
O (0.2500, 0.3950, 0.4005)
O (0.4339, 0.5952, 0.7795)
O (0.4339, 0.9048, 0.7795)
O (0.5661, 0.0952, 0.2205)
O (0.5661, 0.4048, 0.2205)
O (0.7500, 0.6050, 0.5995)
O (0.7500, 0.6056, 0.0597)
O (0.7500, 0.8944, 0.0597)
O (0.7500, 0.8950, 0.5995)
O (0.9339, 0.0952, 0.2205)
O (0.9339, 0.4048, 0.2205)

Peak list (12 most intense, 10° ≤ 2θ ≤ 80°, sorted by position)
2θ (°)	I_rel
11.47	48
14.91	36
24.86	54
26.27	51
29.69	38
30.08	61
30.25	47
32.02	48
32.29	100
34.52	34
39.24	25
48.18	26